This entry pairs a crystal structure of CrC7N2O5 with its computed powder XRD pattern. Radiation: Cu Kα (λ = 1.5418 Å). Structure: a crystal structure in the Materials Project, relaxed with PBE+U.

Peak list (10 most intense, 10° ≤ 2θ ≤ 90°, by angle)
Position (°2θ)  Rel. int.
12.99  91
15.50  100
16.86  33
17.18  47
18.51  26
28.51  30
29.46  58
30.52  29
31.20  30
31.77  45

Cell and atoms:
Lattice parameters (Å, degrees): 13.729 6.493 12.070 90.00 96.84 90.00
Element x y z (fractional)
Cr 0.212 0.052 0.400
Cr 0.212 0.448 0.900
Cr 0.788 0.552 0.100
Cr 0.788 0.948 0.600
C 0.110 0.557 0.795
C 0.110 0.943 0.295
C 0.114 0.170 0.481
C 0.114 0.330 0.981
C 0.211 0.699 0.986
C 0.211 0.801 0.486
C 0.217 0.199 0.815
C 0.217 0.301 0.315
C 0.306 0.166 0.516
C 0.306 0.334 0.016
C 0.309 0.556 0.818
C 0.309 0.944 0.318
C 0.440 0.682 0.707
C 0.440 0.818 0.207
C 0.560 0.182 0.793
C 0.560 0.318 0.293
C 0.691 0.056 0.682
C 0.691 0.444 0.182
C 0.694 0.666 0.984
C 0.694 0.834 0.484
C 0.783 0.699 0.685
C 0.783 0.801 0.185
C 0.789 0.199 0.514
C 0.789 0.301 0.014
C 0.886 0.670 0.019
C 0.886 0.830 0.519
C 0.890 0.057 0.705
C 0.890 0.443 0.205
N 0.375 0.619 0.762
N 0.375 0.881 0.262
N 0.461 0.729 0.983
N 0.461 0.771 0.483
N 0.539 0.229 0.517
N 0.539 0.271 0.017
N 0.625 0.119 0.738
N 0.625 0.381 0.238
O 0.047 0.620 0.731
O 0.047 0.880 0.231
O 0.055 0.241 0.532
O 0.055 0.259 0.032
O 0.212 0.652 0.538
O 0.212 0.848 0.038
O 0.219 0.049 0.763
O 0.219 0.451 0.263
O 0.357 0.235 0.590
O 0.357 0.265 0.090
O 0.643 0.735 0.910
O 0.643 0.765 0.410
O 0.781 0.549 0.737
O 0.781 0.951 0.237
O 0.788 0.152 0.962
O 0.788 0.348 0.462
O 0.945 0.741 0.968
O 0.945 0.759 0.468
O 0.953 0.120 0.769
O 0.953 0.380 0.269


This entry pairs a crystal structure of Na4Cr2PC4O16 with its computed powder XRD pattern. Radiation: Cu Kα (λ = 1.5418 Å). Structure: a crystal structure in the Materials Project, relaxed with PBE+U.

Peak list (10 most intense, 10° ≤ 2θ ≤ 90°, by angle)
Position (°2θ)  Rel. int.
11.02  100
17.93  78
20.79  85
21.32  41
21.47  44
32.70  40
33.73  49
34.03  50
36.41  29
57.38  26

Cell and atoms:
Lattice parameters (Å, degrees): 9.924 9.879 9.708 60.87 60.41 58.71
Element x y z (fractional)
Na 0.085 0.665 0.085
Na 0.085 0.665 0.665
Na 0.335 0.915 0.335
Na 0.335 0.915 0.915
Na 0.665 0.085 0.085
Na 0.665 0.085 0.665
Na 0.915 0.335 0.335
Na 0.915 0.335 0.915
Cr 0.000 0.500 0.500
Cr 0.500 0.000 0.500
Cr 0.500 0.500 0.000
Cr 0.500 0.500 0.500
P 0.125 0.125 0.125
P 0.875 0.875 0.875
C 0.280 0.639 0.292
C 0.289 0.292 0.639
C 0.292 0.289 0.280
C 0.361 0.720 0.711
C 0.639 0.280 0.289
C 0.708 0.711 0.720
C 0.711 0.708 0.361
C 0.720 0.361 0.708
O 0.055 0.318 0.063
O 0.063 0.064 0.055
O 0.064 0.063 0.318
O 0.141 0.635 0.409
O 0.144 0.318 0.644
O 0.145 0.406 0.305
O 0.305 0.645 0.145
O 0.315 0.409 0.635
O 0.318 0.055 0.064
O 0.318 0.144 0.393
O 0.355 0.695 0.594
O 0.356 0.607 0.856
O 0.365 0.859 0.685
O 0.393 0.644 0.318
O 0.406 0.145 0.645
O 0.409 0.315 0.141
O 0.591 0.685 0.859
O 0.594 0.855 0.355
O 0.607 0.356 0.682
O 0.635 0.141 0.315
O 0.644 0.393 0.144
O 0.645 0.305 0.406
O 0.682 0.856 0.607
O 0.682 0.945 0.936
O 0.685 0.591 0.365
O 0.695 0.355 0.855
O 0.855 0.594 0.695
O 0.856 0.682 0.356
O 0.859 0.365 0.591
O 0.936 0.937 0.682
O 0.937 0.936 0.945
O 0.945 0.682 0.937


This entry pairs a crystal structure of Na6Cr2C4SO16 with its computed powder XRD pattern. Radiation: Cu Kα (λ = 1.5418 Å). Structure: a crystal structure in the Materials Project, relaxed with PBE+U.

Peak list (10 most intense, 10° ≤ 2θ ≤ 90°, by angle)
Position (°2θ)  Rel. int.
10.87  16
20.90  93
33.02  100
36.04  74
37.76  22
42.54  15
45.98  22
56.54  34
56.95  19
68.91  14

Cell and atoms:
Lattice parameters (Å, degrees): 9.967 9.967 9.967 60.00 60.00 60.00
Element x y z (fractional)
Na 0.090 0.090 0.660
Na 0.090 0.660 0.090
Na 0.090 0.660 0.660
Na 0.340 0.340 0.910
Na 0.340 0.910 0.340
Na 0.340 0.910 0.910
Na 0.660 0.090 0.090
Na 0.660 0.090 0.660
Na 0.660 0.660 0.090
Na 0.910 0.340 0.340
Na 0.910 0.340 0.910
Na 0.910 0.910 0.340
Cr 0.000 0.500 0.500
Cr 0.500 0.000 0.500
Cr 0.500 0.500 0.000
Cr 0.500 0.500 0.500
C 0.279 0.279 0.279
C 0.279 0.279 0.662
C 0.279 0.662 0.279
C 0.338 0.721 0.721
C 0.662 0.279 0.279
C 0.721 0.338 0.721
C 0.721 0.721 0.338
C 0.721 0.721 0.721
S 0.125 0.125 0.125
S 0.875 0.875 0.875
O 0.064 0.064 0.064
O 0.064 0.064 0.309
O 0.064 0.309 0.064
O 0.138 0.301 0.663
O 0.138 0.397 0.301
O 0.138 0.663 0.397
O 0.301 0.138 0.397
O 0.301 0.397 0.663
O 0.301 0.663 0.138
O 0.309 0.064 0.064
O 0.337 0.603 0.862
O 0.337 0.699 0.603
O 0.337 0.862 0.699
O 0.397 0.138 0.663
O 0.397 0.301 0.138
O 0.397 0.663 0.301
O 0.603 0.337 0.699
O 0.603 0.699 0.862
O 0.603 0.862 0.337
O 0.663 0.138 0.301
O 0.663 0.301 0.397
O 0.663 0.397 0.138
O 0.691 0.936 0.936
O 0.699 0.337 0.862
O 0.699 0.603 0.337
O 0.699 0.862 0.603
O 0.862 0.337 0.603
O 0.862 0.603 0.699
O 0.862 0.699 0.337
O 0.936 0.691 0.936
O 0.936 0.936 0.691
O 0.936 0.936 0.936


This entry pairs a crystal structure of NaCrCSO7 with its computed powder XRD pattern. Radiation: Cu Kα (λ = 1.5418 Å). Structure: a crystal structure in the Materials Project, relaxed with PBE+U.

Peak list (10 most intense, 10° ≤ 2θ ≤ 90°, by angle)
Position (°2θ)  Rel. int.
16.90  100
19.08  52
19.78  57
21.74  39
24.17  54
25.36  78
27.73  94
33.88  67
34.24  41
37.60  31

Cell and atoms:
Lattice parameters (Å, degrees): 5.296 6.434 9.062 90.00 92.35 90.00
Element x y z (fractional)
Na 0.238 0.000 0.279
Na 0.762 0.500 0.721
Cr 0.221 0.226 0.840
Cr 0.779 0.726 0.160
C 0.276 0.243 0.578
C 0.724 0.743 0.422
S 0.277 0.730 0.928
S 0.723 0.230 0.072
O 0.053 0.240 0.642
O 0.139 0.740 0.067
O 0.197 0.545 0.839
O 0.217 0.911 0.833
O 0.307 0.242 0.445
O 0.445 0.218 0.036
O 0.463 0.244 0.683
O 0.537 0.744 0.317
O 0.555 0.718 0.964
O 0.693 0.742 0.555
O 0.783 0.411 0.167
O 0.803 0.045 0.161
O 0.861 0.240 0.933
O 0.947 0.740 0.358


This entry pairs a crystal structure of Na4Cr2C4SO16 with its computed powder XRD pattern. Radiation: Cu Kα (λ = 1.5418 Å). Structure: a crystal structure in the Materials Project, relaxed with PBE+U.

Peak list (10 most intense, 10° ≤ 2θ ≤ 90°, by angle)
Position (°2θ)  Rel. int.
11.02  99
17.93  95
20.79  100
21.32  49
21.44  53
32.71  47
33.73  56
33.98  58
36.39  32
57.36  29

Cell and atoms:
Lattice parameters (Å, degrees): 9.923 9.885 9.715 60.83 60.43 58.74
Element x y z (fractional)
Na 0.084 0.666 0.084
Na 0.084 0.666 0.666
Na 0.334 0.916 0.334
Na 0.334 0.916 0.916
Na 0.666 0.084 0.084
Na 0.666 0.084 0.666
Na 0.916 0.334 0.334
Na 0.916 0.334 0.916
Cr 0.000 0.500 0.500
Cr 0.500 0.000 0.500
Cr 0.500 0.500 0.000
Cr 0.500 0.500 0.500
C 0.280 0.639 0.292
C 0.289 0.292 0.639
C 0.292 0.289 0.280
C 0.361 0.720 0.711
C 0.639 0.280 0.289
C 0.708 0.711 0.720
C 0.711 0.708 0.361
C 0.720 0.361 0.708
S 0.125 0.125 0.125
S 0.875 0.875 0.875
O 0.057 0.312 0.066
O 0.065 0.066 0.312
O 0.066 0.065 0.057
O 0.141 0.635 0.408
O 0.144 0.406 0.305
O 0.145 0.318 0.644
O 0.305 0.645 0.144
O 0.312 0.057 0.065
O 0.316 0.408 0.635
O 0.318 0.145 0.393
O 0.355 0.695 0.594
O 0.356 0.607 0.855
O 0.365 0.859 0.684
O 0.393 0.644 0.318
O 0.406 0.144 0.645
O 0.408 0.316 0.141
O 0.592 0.684 0.859
O 0.594 0.856 0.355
O 0.607 0.356 0.682
O 0.635 0.141 0.316
O 0.644 0.393 0.145
O 0.645 0.305 0.406
O 0.682 0.855 0.607
O 0.684 0.592 0.365
O 0.688 0.943 0.935
O 0.695 0.355 0.856
O 0.855 0.682 0.356
O 0.856 0.594 0.695
O 0.859 0.365 0.592
O 0.934 0.935 0.943
O 0.935 0.934 0.688
O 0.943 0.688 0.934


Question: Which formula does entry 2 have?
Answer: Na4Cr2PC4O16